The following is a theoretical X-ray diffraction stick pattern of SrPrMgBiO6. It was derived from a structure optimized by DFT (PBE), using Cu Ka.
Lines closer than 0.1° are merged.

Atomic structure:
```
data_SrPrMgBiO6
_chemical_formula_sum 'Sr4 Pr4 Mg4 Bi4 O24'
_space_group_name_H-M_alt 'F -4 3 m'
_space_group_IT_number 216
_space_group_name_Hall 'F -4 2 3'
_cell_length_a 8.179
_cell_length_b 8.179
_cell_length_c 8.179
_cell_angle_alpha 90.00
_cell_angle_beta 90.00
_cell_angle_gamma 90.00
loop_
_atom_site_label
_atom_site_type_symbol
_atom_site_fract_x
_atom_site_fract_y
_atom_site_fract_z
Sr1 Sr 0.000 0.000 0.000
Pr1 Pr 0.000 0.000 0.500
Mg1 Mg 0.250 0.250 0.250
Bi1 Bi 0.250 0.250 0.750
O1 O 0.004 0.250 0.250
```

Largest 8 diffraction maxima, in order of falling intensity, 2θ from 15° to 90°:
Position (°2θ)  d [Å]  Rel. int.
30.92  2.892  1000
55.00  1.670  410
18.79  4.722  407
44.30  2.045  314
36.43  2.466  254
89.71  1.093  228
64.44  1.446  195
73.19  1.293  181